Entry 1:
UAg2W2O10: theoretical X-ray powder pattern (Cu Kα X-rays), based on a structure optimized by DFT (GGA+U).
Intensities are scaled so that the largest is 100.

a b c (Å): 8.7868 7.6761 12.7821
angles (deg): 90.00 90.00 90.00
Space group Pnma (No. 62)
Inequivalent atoms, fractional coordinates:
U (0.0247, 0.2500, 0.0001)
Ag (0.1720, 0.7500, 0.2949)
Ag (0.1899, 0.2500, 0.3087)
W (0.1499, 0.0002, 0.5764)
O (0.0029, 0.2500, 0.1424)
O (0.0439, 0.2500, 0.8563)
O (0.0655, 0.0233, 0.4113)
O (0.1373, 0.2500, 0.5760)
O (0.1483, 0.5247, 0.0095)
O (0.1867, 0.7500, 0.5439)
O (0.2096, 0.5130, 0.7103)

Top 8 peaks for 15° ≤ 2θ ≤ 90°, in order of falling intensity:
2θ 26.3, d 3.391, I = 100
2θ 31.3, d 2.855, I = 70
2θ 29.0, d 3.081, I = 64
2θ 29.7, d 3.003, I = 51
2θ 29.2, d 3.059, I = 44
2θ 34.0, d 2.634, I = 40
2θ 53.2, d 1.721, I = 39
2θ 31.7, d 2.819, I = 37

---

Entry 2:
V4Ag3O12: theoretical X-ray powder pattern (Cu Kα X-rays), based on a structure optimized by DFT (GGA+U).
Intensities are scaled so that the largest is 100.

a b c (Å): 7.2180 8.9194 9.0619
angles (deg): 73.12 78.48 66.38
Space group P1 (No. 1)
Inequivalent atoms, fractional coordinates:
V (0.0000, 0.0000, 0.0000)
V (0.0065, 0.7937, 0.3774)
V (0.1000, 0.3449, 0.9060)
V (0.1159, 0.1316, 0.2722)
V (0.4983, 0.9983, 0.0022)
V (0.5085, 0.7943, 0.3801)
V (0.6062, 0.3380, 0.9016)
V (0.6170, 0.1283, 0.2753)
Ag (0.3012, 0.0646, 0.6411)
Ag (0.3845, 0.4449, 0.5605)
Ag (0.4027, 0.6058, 0.1412)
Ag (0.7180, 0.6961, 0.7309)
Ag (0.8128, 0.0635, 0.6395)
Ag (0.8989, 0.4352, 0.5398)
O (0.0512, 0.3234, 0.1491)
O (0.0521, 0.1700, 0.4529)
O (0.0589, 0.9730, 0.8178)
O (0.0774, 0.8024, 0.1202)
O (0.1214, 0.5777, 0.4047)
O (0.1711, 0.3165, 0.7070)
O (0.2131, 0.0635, 0.0236)
O (0.2348, 0.8574, 0.3437)
O (0.3740, 0.2850, 0.9383)
O (0.4054, 0.0621, 0.2548)
O (0.4641, 0.8193, 0.5687)
O (0.5290, 0.5485, 0.8827)
O (0.5489, 0.3259, 0.1571)
O (0.5554, 0.1589, 0.4572)
O (0.5585, 0.8012, 0.1175)
O (0.5580, 0.9713, 0.8178)
O (0.5921, 0.5793, 0.4071)
O (0.6603, 0.3220, 0.7039)
O (0.7099, 0.0658, 0.0224)
O (0.7421, 0.8488, 0.3272)
O (0.8805, 0.2718, 0.9361)
O (0.9039, 0.0626, 0.2556)
O (0.9305, 0.8177, 0.5661)
O (0.9851, 0.5524, 0.8732)

Top 8 peaks for 15° ≤ 2θ ≤ 90°, in order of falling intensity:
2θ 30.5, d 2.935, I = 100
2θ 33.0, d 2.716, I = 78
2θ 32.6, d 2.746, I = 69
2θ 32.7, d 2.736, I = 66
2θ 28.1, d 3.176, I = 54
2θ 54.2, d 1.694, I = 47
2θ 50.6, d 1.804, I = 46
2θ 28.2, d 3.166, I = 44

---

Entry 3:
V4Ag2O11: theoretical X-ray powder pattern (Cu Kα X-rays), based on a structure optimized by DFT (GGA+U).
Intensities are scaled so that the largest is 100.

a b c (Å): 15.5473 3.6110 9.6142
angles (deg): 90.00 127.07 90.00
Space group C2/m (No. 12)
Inequivalent atoms, fractional coordinates:
V (0.1343, 0.0000, 0.4237)
V (0.1458, 0.5000, 0.1528)
Ag (0.1195, 0.5000, 0.7320)
O (0.0000, 0.5000, 0.0000)
O (0.0014, 0.0000, 0.3195)
O (0.1509, 0.0000, 0.2197)
O (0.1648, 0.5000, 0.4101)
O (0.1767, 0.5000, 0.0169)
O (0.1846, 0.0000, 0.6458)

Top 8 peaks for 15° ≤ 2θ ≤ 90°, in order of falling intensity:
2θ 28.8, d 3.101, I = 100
2θ 28.6, d 3.117, I = 86
2θ 30.2, d 2.960, I = 84
2θ 31.9, d 2.805, I = 79
2θ 30.0, d 2.977, I = 50
2θ 54.0, d 1.697, I = 42
2θ 23.2, d 3.835, I = 41
2θ 50.6, d 1.806, I = 39

---

Entry 4:
VAgO3: theoretical X-ray powder pattern (Cu Kα X-rays), based on a structure optimized by DFT (GGA+U).
Intensities are scaled so that the largest is 100.

a b c (Å): 11.0767 10.5392 5.8974
angles (deg): 90.00 112.77 90.00
Space group C2/c (No. 15)
Inequivalent atoms, fractional coordinates:
V (0.1887, 0.0822, 0.2330)
Ag (0.0000, 0.2654, 0.7500)
Ag (0.0000, 0.4049, 0.2500)
O (0.1286, 0.2297, 0.1414)
O (0.1379, 0.0259, 0.4731)
O (0.1444, 0.4152, 0.6488)

Top 8 peaks for 15° ≤ 2θ ≤ 90°, in order of falling intensity:
2θ 29.7, d 3.008, I = 100
2θ 33.0, d 2.717, I = 75
2θ 25.2, d 3.529, I = 68
2θ 27.5, d 3.240, I = 67
2θ 17.4, d 5.106, I = 54
2θ 33.3, d 2.688, I = 41
2θ 35.8, d 2.505, I = 37
2θ 24.3, d 3.667, I = 34

---

Entry 5:
V12Ag5O32: theoretical X-ray powder pattern (Cu Kα X-rays), based on a structure optimized by DFT (GGA+U).
Intensities are scaled so that the largest is 100.

a b c (Å): 15.1496 7.3003 12.4418
angles (deg): 90.00 107.76 90.00
Space group Cm (No. 8)
Inequivalent atoms, fractional coordinates:
V (0.0000, 0.0000, 0.0000)
V (0.0005, 0.5000, 0.0009)
V (0.1772, 0.2498, 0.0813)
V (0.2080, 0.2506, 0.3466)
V (0.2878, 0.2493, 0.6210)
V (0.3850, 0.0000, 0.4605)
V (0.3891, 0.5000, 0.4625)
V (0.4692, 0.0000, 0.7338)
V (0.4703, 0.5000, 0.7307)
Ag (0.1065, 0.5000, 0.5203)
Ag (0.2502, 0.0000, 0.8613)
Ag (0.2509, 0.5000, 0.8620)
Ag (0.4275, 0.2511, 0.2209)
O (0.0389, 0.2503, 0.0025)
O (0.0787, 0.0000, 0.8092)
O (0.0786, 0.5000, 0.8087)
O (0.0975, 0.2507, 0.2727)
O (0.1380, 0.0000, 0.0794)
O (0.1381, 0.5000, 0.0796)
O (0.1896, 0.2520, 0.4986)
O (0.2378, 0.2500, 0.9900)
O (0.2426, 0.2499, 0.7270)
O (0.2479, 0.5000, 0.3709)
O (0.2488, 0.0000, 0.3719)
O (0.2591, 0.2497, 0.2153)
O (0.3219, 0.0000, 0.6127)
O (0.3215, 0.5000, 0.6134)
O (0.3567, 0.2501, 0.4704)
O (0.4194, 0.0000, 0.8649)
O (0.4194, 0.5000, 0.8648)
O (0.4311, 0.2498, 0.7138)
O (0.4346, 0.0000, 0.3577)
O (0.4348, 0.5000, 0.3575)
O (0.4394, 0.0000, 0.0914)
O (0.4393, 0.5000, 0.0912)
O (0.4858, 0.0000, 0.5874)
O (0.4868, 0.5000, 0.5875)

Top 8 peaks for 15° ≤ 2θ ≤ 90°, in order of falling intensity:
2θ 28.9, d 3.091, I = 100
2θ 25.5, d 3.488, I = 71
2θ 28.0, d 3.190, I = 65
2θ 24.7, d 3.607, I = 64
2θ 29.4, d 3.036, I = 59
2θ 34.1, d 2.628, I = 49
2θ 28.7, d 3.108, I = 48
2θ 22.1, d 4.017, I = 46

---

Entry 6:
VAgO3: theoretical X-ray powder pattern (Cu Kα X-rays), based on a structure optimized by DFT (GGA+U).
Intensities are scaled so that the largest is 100.

a b c (Å): 5.3271 9.3768 12.2978
angles (deg): 85.61 84.72 88.02
Space group P-1 (No. 2)
Inequivalent atoms, fractional coordinates:
V (0.0126, 0.1336, 0.0422)
V (0.3024, 0.5514, 0.5893)
V (0.3613, 0.2261, 0.5238)
V (0.4507, 0.6919, 0.0644)
Ag (0.0364, 0.9468, 0.6443)
Ag (0.0493, 0.5176, 0.8807)
Ag (0.1757, 0.7495, 0.3161)
Ag (0.4690, 0.2411, 0.2259)
O (0.1238, 0.1272, 0.1659)
O (0.1709, 0.3681, 0.5947)
O (0.1996, 0.6152, 0.7106)
O (0.2045, 0.0153, 0.9517)
O (0.2110, 0.2929, 0.9674)
O (0.2626, 0.1806, 0.4028)
O (0.2721, 0.7334, 0.9436)
O (0.3077, 0.7273, 0.4995)
O (0.3317, 0.8106, 0.1538)
O (0.3507, 0.0832, 0.6162)
O (0.3761, 0.5246, 0.1183)
O (0.3842, 0.4777, 0.4076)

Top 8 peaks for 15° ≤ 2θ ≤ 90°, in order of falling intensity:
2θ 30.8, d 2.906, I = 100
2θ 25.8, d 3.459, I = 75
2θ 34.9, d 2.570, I = 68
2θ 33.9, d 2.647, I = 68
2θ 32.9, d 2.718, I = 60
2θ 26.4, d 3.379, I = 59
2θ 34.5, d 2.603, I = 58
2θ 26.8, d 3.329, I = 56